Entry 1:
Diffraction record for Hf4AlSi. The powder XRD pattern is computed, not measured: it uses a crystal structure in Alexandria, relaxed with GGA-PBE and copper Kα.
Neutral-atom scattering factors, no anomalous dispersion.

Main lines, by angle (2θ = 10–90°):
| d/Å | 2θ/deg | intensity |
| --- | --- | --- |
| 4.731 | 18.76 | 11 |
| 2.615 | 34.29 | 18 |
| 2.597 | 34.53 | 100 |
| 2.116 | 42.73 | 19 |
| 1.550 | 59.65 | 11 |
| 1.506 | 61.56 | 19 |
| 1.351 | 69.62 | 12 |
| 1.209 | 79.24 | 14 |

Atomic structure:
Cell lengths 6.691, 6.691, 5.231 Å; angles 90.00, 90.00, 90.00 degrees
Positions (direct):
1 Hf 0.154 0.346 0.250
2 Hf 0.154 0.654 0.750
3 Hf 0.346 0.154 0.750
4 Hf 0.346 0.846 0.250
5 Hf 0.654 0.154 0.250
6 Hf 0.654 0.846 0.750
7 Hf 0.846 0.346 0.750
8 Hf 0.846 0.654 0.250
9 Al 0.000 0.000 0.500
10 Al 0.500 0.500 0.000
11 Si 0.000 0.000 0.000
12 Si 0.500 0.500 0.500

Entry 2:
Diffraction record for SmHfAl. The powder XRD pattern is computed, not measured: it uses a crystal structure in Alexandria, relaxed with GGA-PBE and copper Kα.
Neutral-atom scattering factors, no anomalous dispersion.

Main lines, by angle (2θ = 10–90°):
| d/Å | 2θ/deg | intensity |
| --- | --- | --- |
| 3.693 | 24.10 | 34 |
| 2.894 | 30.90 | 100 |
| 2.650 | 33.83 | 57 |
| 2.491 | 36.06 | 73 |
| 2.229 | 40.46 | 24 |
| 1.691 | 54.24 | 29 |
| 1.661 | 55.31 | 43 |
| 1.432 | 65.16 | 18 |

Atomic structure:
Cell lengths 7.609, 7.609, 4.459 Å; angles 90.00, 90.00, 120.00 degrees
Positions (direct):
1 Sm 0.000 0.414 0.000
2 Sm 0.414 0.000 0.000
3 Sm 0.586 0.586 0.000
4 Hf 0.000 0.765 0.500
5 Hf 0.235 0.235 0.500
6 Hf 0.765 0.000 0.500
7 Al 0.000 0.000 0.000
8 Al 0.333 0.667 0.500
9 Al 0.667 0.333 0.500

Entry 3:
Diffraction record for Hf6Al5Sn. The powder XRD pattern is computed, not measured: it uses a crystal structure in Alexandria, relaxed with GGA-PBE and copper Kα.
Neutral-atom scattering factors, no anomalous dispersion.

Main lines, by angle (2θ = 10–90°):
| d/Å | 2θ/deg | intensity |
| --- | --- | --- |
| 3.678 | 24.20 | 45 |
| 3.623 | 24.57 | 43 |
| 2.796 | 32.01 | 62 |
| 2.711 | 33.04 | 41 |
| 2.607 | 34.40 | 100 |
| 2.409 | 37.33 | 40 |
| 1.915 | 47.48 | 41 |
| 1.899 | 47.91 | 40 |

Atomic structure:
Cell lengths 5.954, 5.954, 7.326 Å; angles 95.31, 95.31, 102.69 degrees
Positions (direct):
1 Hf 0.072 0.412 0.740
2 Hf 0.240 0.240 0.249
3 Hf 0.412 0.072 0.740
4 Hf 0.588 0.928 0.260
5 Hf 0.760 0.760 0.751
6 Hf 0.928 0.588 0.260
7 Al 0.000 0.000 0.500
8 Al 0.170 0.830 0.000
9 Al 0.345 0.655 0.500
10 Al 0.655 0.345 0.500
11 Al 0.830 0.170 0.000
12 Sn 0.500 0.500 0.000

Entry 4:
Diffraction record for Hf3Ta2Al4. The powder XRD pattern is computed, not measured: it uses a crystal structure in Alexandria, relaxed with GGA-PBE and copper Kα.
Neutral-atom scattering factors, no anomalous dispersion.

Main lines, by angle (2θ = 10–90°):
| d/Å | 2θ/deg | intensity |
| --- | --- | --- |
| 5.171 | 17.15 | 27 |
| 3.947 | 22.53 | 34 |
| 3.081 | 28.98 | 25 |
| 2.435 | 36.91 | 100 |
| 2.381 | 37.78 | 73 |
| 2.319 | 38.83 | 96 |
| 2.259 | 39.91 | 44 |
| 1.639 | 56.13 | 32 |

Atomic structure:
Cell lengths 5.654, 5.654, 8.537 Å; angles 120.14, 120.14, 47.09 degrees
Positions (direct):
1 Hf 0.000 0.000 0.000
2 Hf 0.337 0.337 0.325
3 Hf 0.663 0.663 0.675
4 Ta 0.351 0.351 0.682
5 Ta 0.649 0.649 0.318
6 Al 0.041 0.041 0.375
7 Al 0.303 0.303 0.964
8 Al 0.697 0.697 0.036
9 Al 0.959 0.959 0.625

Q: Number 3 is which compound?
A: Hf6Al5Sn